Entry 1:
For PIrPdO, a cell relaxed with GGA-PBE gives the computed powder X-ray diffraction pattern in this record (Cu Kα X-rays).
No peak broadening, texture or thermal motion is included.

Structural model:
a = 3.7645 Å, b = 5.9168 Å, c = 5.5313 Å
α = 90.00°, β = 90.00°, γ = 90.00°
Fractional positions:
P 0.0000 0.2435 0.0000
P 0.0000 0.7565 0.5000
Ir 0.0000 0.1344 0.6033
Ir 0.0000 0.8656 0.1033
Pd 0.5000 0.4782 0.0405
Pd 0.5000 0.5218 0.5405
O 0.5000 0.1581 0.5390
O 0.5000 0.8419 0.0390

Top 10 peaks for 2θ = 15–90°, sorted by position:
2θ 22.00, rel. 49; 2θ 28.09, rel. 100; 2θ 32.37, rel. 66; 2θ 32.51, rel. 38; 2θ 34.38, rel. 60; 2θ 42.14, rel. 29; 2θ 43.38, rel. 53; 2θ 48.36, rel. 26; 2θ 59.40, rel. 22; 2θ 60.67, rel. 23

---

Entry 2:
For SrSiSb3Pd6, a cell relaxed with GGA-PBE gives the computed powder X-ray diffraction pattern in this record (Cu Kα X-rays).
No peak broadening, texture or thermal motion is included.

Structural model:
a = 7.6606 Å, b = 7.6606 Å, c = 4.1008 Å
α = 90.00°, β = 90.00°, γ = 120.00°
Fractional positions:
Sr 0.0000 0.0000 0.0000
Si 0.3333 0.6667 0.0000
Sb 0.3807 0.1903 0.5000
Sb 0.8097 0.1903 0.5000
Sb 0.8097 0.6193 0.5000
Pd 0.2103 0.4206 0.5000
Pd 0.2103 0.7897 0.5000
Pd 0.5253 0.0506 0.0000
Pd 0.5253 0.4747 0.0000
Pd 0.5794 0.7897 0.5000
Pd 0.9494 0.4747 0.0000

Top 10 peaks for 2θ = 15–90°, sorted by position:
2θ 34.79, rel. 100; 2θ 35.81, rel. 25; 2θ 40.80, rel. 12; 2θ 42.25, rel. 47; 2θ 44.17, rel. 24; 2θ 47.47, rel. 23; 2θ 58.11, rel. 12; 2θ 66.85, rel. 16; 2θ 75.23, rel. 23; 2θ 79.98, rel. 15

---

Entry 3:
For Y2ErCo7Ni2, a cell relaxed with GGA-PBE gives the computed powder X-ray diffraction pattern in this record (Cu Kα X-rays).
No peak broadening, texture or thermal motion is included.

Structural model:
a = 8.6628 Å, b = 8.6628 Å, c = 8.6628 Å
α = 32.86°, β = 32.86°, γ = 32.86°
Fractional positions:
Y 0.1393 0.1393 0.1393
Y 0.8607 0.8607 0.8607
Er 0.0000 0.0000 0.0000
Co 0.0811 0.5811 0.5811
Co 0.4189 0.4189 0.9189
Co 0.4189 0.9189 0.4189
Co 0.5000 0.5000 0.5000
Co 0.5811 0.0811 0.5811
Co 0.5811 0.5811 0.0811
Co 0.9189 0.4189 0.4189
Ni 0.3335 0.3335 0.3335
Ni 0.6665 0.6665 0.6665

Top 10 peaks for 2θ = 15–90°, sorted by position:
2θ 33.13, rel. 34; 2θ 36.11, rel. 35; 2θ 36.68, rel. 41; 2θ 42.77, rel. 35; 2θ 43.02, rel. 100; 2θ 43.27, rel. 16; 2θ 44.25, rel. 19; 2θ 46.62, rel. 13; 2θ 70.42, rel. 22; 2θ 77.99, rel. 20

---

Entry 4:
For Zr2CdIn, a cell relaxed with GGA-PBE gives the computed powder X-ray diffraction pattern in this record (Cu Kα X-rays).
No peak broadening, texture or thermal motion is included.

Structural model:
a = 7.1552 Å, b = 7.1552 Å, c = 7.1552 Å
α = 90.00°, β = 90.00°, γ = 90.00°
Fractional positions:
Zr 0.0000 0.0000 0.0000
Zr 0.0000 0.5000 0.5000
Zr 0.2500 0.2500 0.2500
Zr 0.2500 0.7500 0.7500
Zr 0.5000 0.0000 0.5000
Zr 0.5000 0.5000 0.0000
Zr 0.7500 0.2500 0.7500
Zr 0.7500 0.7500 0.2500
Cd 0.2500 0.2500 0.7500
Cd 0.2500 0.7500 0.2500
Cd 0.7500 0.2500 0.2500
Cd 0.7500 0.7500 0.7500
In 0.0000 0.0000 0.5000
In 0.0000 0.5000 0.0000
In 0.5000 0.0000 0.0000
In 0.5000 0.5000 0.5000

Top 7 peaks for 2θ = 15–90°, sorted by position:
2θ 21.51, rel. 1; 2θ 35.49, rel. 100; 2θ 41.87, rel. 1; 2θ 51.06, rel. 17; 2θ 63.72, rel. 34; 2θ 75.10, rel. 10; 2θ 85.91, rel. 15

---

Entry 5:
For NaAuS, a cell relaxed with GGA-PBE gives the computed powder X-ray diffraction pattern in this record (Cu Kα X-rays).
No peak broadening, texture or thermal motion is included.

Structural model:
a = 12.9819 Å, b = 12.9819 Å, c = 7.1501 Å
α = 90.00°, β = 90.00°, γ = 110.53°
Fractional positions:
Na 0.0021 0.5021 0.7500
Na 0.1229 0.2526 0.0882
Na 0.1365 0.8635 0.7500
Na 0.2474 0.3771 0.5882
Na 0.2526 0.1229 0.5882
Na 0.3635 0.6365 0.7500
Na 0.3771 0.2474 0.0882
Na 0.4979 0.9979 0.7500
Na 0.5021 0.0021 0.2500
Na 0.6229 0.7526 0.9118
Na 0.6365 0.3635 0.2500
Na 0.7474 0.8771 0.4118
Na 0.7526 0.6229 0.4118
Na 0.8635 0.1365 0.2500
Na 0.8771 0.7474 0.9118
Na 0.9979 0.4979 0.2500
Au 0.0000 0.0000 0.0000
Au 0.0000 0.0000 0.5000
Au 0.0038 0.7501 0.2786
Au 0.2501 0.5038 0.2214
Au 0.2500 0.7500 0.0279
Au 0.2500 0.7500 0.4721
Au 0.2499 0.9962 0.2214
Au 0.4962 0.7499 0.2786
Au 0.5000 0.5000 0.0000
Au 0.5000 0.5000 0.5000
Au 0.5038 0.2501 0.7214
Au 0.7501 0.0038 0.7786
Au 0.7500 0.2500 0.5279
Au 0.7500 0.2500 0.9721
Au 0.7499 0.4962 0.7786
Au 0.9962 0.2499 0.7214
S 0.0580 0.6821 0.0071
S 0.0691 0.1904 0.4626
S 0.1821 0.5580 0.4929
S 0.1904 0.0691 0.9626
S 0.3096 0.4309 0.9626
S 0.3179 0.9420 0.4929
S 0.4309 0.3096 0.4626
S 0.4420 0.8179 0.0071
S 0.5580 0.1821 0.9929
S 0.5691 0.6904 0.5374
S 0.6821 0.0580 0.5071
S 0.6904 0.5691 0.0374
S 0.8096 0.9309 0.0374
S 0.8179 0.4420 0.5071
S 0.9309 0.8096 0.5374
S 0.9420 0.3179 0.9929

Top 10 peaks for 2θ = 15–90°, sorted by position:
2θ 20.53, rel. 43; 2θ 27.71, rel. 23; 2θ 29.39, rel. 100; 2θ 30.09, rel. 87; 2θ 30.39, rel. 25; 2θ 32.49, rel. 60; 2θ 33.60, rel. 24; 2θ 34.91, rel. 35; 2θ 49.25, rel. 77; 2θ 58.83, rel. 27

---

Entry 6:
For NpCd, a cell relaxed with GGA-PBE gives the computed powder X-ray diffraction pattern in this record (Cu Kα X-rays).
No peak broadening, texture or thermal motion is included.

Structural model:
a = 2.9320 Å, b = 2.9320 Å, c = 5.5606 Å
α = 90.00°, β = 90.00°, γ = 120.00°
Fractional positions:
Np 0.0000 0.0000 0.0000
Cd 0.3333 0.6667 0.5000

Top 10 peaks for 2θ = 15–90°, sorted by position:
2θ 15.94, rel. 20; 2θ 32.20, rel. 36; 2θ 35.35, rel. 28; 2θ 39.00, rel. 100; 2θ 48.56, rel. 23; 2θ 61.99, rel. 26; 2θ 63.45, rel. 15; 2θ 72.95, rel. 21; 2θ 77.05, rel. 14; 2θ 78.43, rel. 6